BaH6C2SNO5: simulated powder diffractogram (Cu Kα, 1.54184 Å), based on the GGA-PBE geometry in the Materials Project.

Structure:
abc: 6.964 6.986 10.138
angles: 85.61 72.41 67.33
Fractional positions:
1 Ba 0.194 0.192 0.498
2 Ba 0.806 0.808 0.502
3 H 0.048 0.044 0.241
4 H 0.065 0.451 0.202
5 H 0.246 0.524 0.214
6 H 0.250 0.847 0.257
7 H 0.332 0.955 0.797
8 H 0.410 0.144 0.777
9 H 0.590 0.856 0.223
10 H 0.668 0.045 0.203
11 H 0.750 0.153 0.743
12 H 0.754 0.476 0.786
13 H 0.935 0.549 0.798
14 H 0.952 0.956 0.759
15 C 0.335 0.522 0.868
16 C 0.395 0.601 0.509
17 C 0.605 0.399 0.491
18 C 0.665 0.478 0.132
19 S 0.123 0.735 0.928
20 S 0.877 0.265 0.072
21 N 0.490 0.366 0.827
22 N 0.510 0.634 0.173
23 O 0.112 0.959 0.310
24 O 0.128 0.480 0.268
25 O 0.221 0.577 0.515
26 O 0.396 0.036 0.727
27 O 0.413 0.773 0.516
28 O 0.587 0.227 0.484
29 O 0.604 0.964 0.273
30 O 0.779 0.423 0.485
31 O 0.872 0.520 0.732
32 O 0.888 0.041 0.690

Largest 8 diffraction maxima, by angle, 10° ≤ 2θ ≤ 80°:
16.2 deg, rel. 62, (1 1 1); 18.4 deg, rel. 97, (0 0 2); 20.0 deg, rel. 66, (1 1 -1); 25.8 deg, rel. 100, (2 1 1); 27.1 deg, rel. 53, (-1 1 1); 27.7 deg, rel. 76, (0 0 3); 32.6 deg, rel. 60, (2 1 3); 37.3 deg, rel. 48, (0 0 4)